Starting from a structure optimized by DFT (GGA-PBE), the powder diffraction line list of La3Ce2Pt3 was computed for a wavelength of 1.5418 Å.
No peak broadening, texture or thermal motion is included.

Main lines, in order of rising 2θ (2θ = 15–90°):
- (2 0 0), 2θ = 25.73°, I 46
- (2 3 1), 2θ = 33.31°, I 100
- (2 0 2), 2θ = 33.44°, I 44
- (1 5 1), 2θ = 34.52°, I 57
- (1 4 2), 2θ = 34.65°, I 68
- (1 1 3), 2θ = 34.87°, I 58
- (0 6 0), 2θ = 36.29°, I 26
- (0 3 3), 2θ = 36.67°, I 55
- (3 0 1), 2θ = 40.51°, I 25
- (3 4 2), 2θ = 51.34°, I 24

Crystal structure
```
data_La3Ce2Pt3
_chemical_formula_sum 'La12 Ce8 Pt12'
_cell_length_a 6.924
_cell_length_b 14.853
_cell_length_c 8.462
_cell_angle_alpha 90.00
_cell_angle_beta 90.00
_cell_angle_gamma 90.00
_symmetry_space_group_name_H-M 'P n m a'
_symmetry_Int_Tables_number 62
_symmetry_space_group_name_Hall '-P 2ac 2n'
loop_
_atom_site_label
_atom_site_type_symbol
_atom_site_fract_x
_atom_site_fract_y
_atom_site_fract_z
La1 La 0.006 0.082 0.217
La2 La 0.240 0.250 0.501
Ce1 Ce 0.216 0.627 0.368
Pt1 Pt 0.196 0.050 0.556
Pt2 Pt 0.224 0.750 0.630
```